(1)
For YTmTlPd2, a cell relaxed with PBE gives the theoretical powder X-ray diffraction pattern in this record (Cu Kα (weighted mean of Kα1 and Kα2)).
Kinematic intensities with the Lorentz-polarization factor, no thermal factor.

Crystal structure
```
5
Lattice="3.641 0.000 0.000 0.000 2.060 7.520 0.000 -2.060 7.520" Properties=species:S:1:pos:R:3 pbc="T T T"
Y 0.000 0.000 0.000
Tm 0.000 0.000 4.046
Tl 1.820 0.000 9.526
Pd 1.820 0.000 6.631
Pd 1.820 0.000 12.360
```

The 10 most intense peaks (5 to 70 degrees two-theta), low angle first:
- 2θ = 28.04°, intensity 18
- 2θ = 33.38°, intensity 100
- 2θ = 34.28°, intensity 49
- 2θ = 35.82°, intensity 19
- 2θ = 37.01°, intensity 51
- 2θ = 43.96°, intensity 26
- 2θ = 44.85°, intensity 19
- 2θ = 50.11°, intensity 18
- 2θ = 56.90°, intensity 23
- 2θ = 63.89°, intensity 25

---

(2)
For YTmPd6, a cell relaxed with PBE gives the theoretical powder X-ray diffraction pattern in this record (Cu Kα (weighted mean of Kα1 and Kα2)).
Kinematic intensities with the Lorentz-polarization factor, no thermal factor.

Crystal structure
```
8
Lattice="4.103 0.000 0.000 0.000 4.103 0.000 0.000 0.000 8.200" Properties=species:S:1:pos:R:3 pbc="T T T"
Y 0.000 0.000 0.000
Tm 0.000 0.000 4.100
Pd 0.000 2.051 2.078
Pd 0.000 2.051 6.122
Pd 2.051 0.000 2.078
Pd 2.051 0.000 6.122
Pd 2.051 2.051 0.000
Pd 2.051 2.051 4.100
```

The 10 most intense peaks (5 to 70 degrees two-theta), low angle first:
- 2θ = 10.79°, intensity 4
- 2θ = 21.66°, intensity 1
- 2θ = 24.26°, intensity 2
- 2θ = 32.75°, intensity 1
- 2θ = 37.99°, intensity 100
- 2θ = 39.62°, intensity 1
- 2θ = 44.16°, intensity 49
- 2θ = 45.59°, intensity 1
- 2θ = 51.00°, intensity 1
- 2θ = 64.22°, intensity 31

---

(3)
For YTmPd2, a cell relaxed with PBE gives the theoretical powder X-ray diffraction pattern in this record (Cu Kα (weighted mean of Kα1 and Kα2)).
Kinematic intensities with the Lorentz-polarization factor, no thermal factor.

Crystal structure
```
8
Lattice="4.474 0.000 0.000 0.000 5.655 0.000 0.000 0.000 6.866" Properties=species:S:1:pos:R:3 pbc="T T T"
Y 0.000 0.612 0.000
Y 0.000 5.043 3.433
Tm 2.237 2.215 2.485
Tm 2.237 3.440 5.918
Pd 0.000 2.301 4.379
Pd 0.000 3.354 0.946
Pd 2.237 0.563 4.959
Pd 2.237 5.091 1.526
```

The 10 most intense peaks (5 to 70 degrees two-theta), low angle first:
- 2θ = 28.57°, intensity 32
- 2θ = 32.89°, intensity 78
- 2θ = 34.30°, intensity 59
- 2θ = 36.62°, intensity 100
- 2θ = 39.94°, intensity 91
- 2θ = 40.32°, intensity 52
- 2θ = 42.61°, intensity 23
- 2θ = 53.95°, intensity 32
- 2θ = 55.98°, intensity 22
- 2θ = 60.11°, intensity 17

---

(4)
For Pd8W, a cell relaxed with PBE gives the theoretical powder X-ray diffraction pattern in this record (Cu Kα (weighted mean of Kα1 and Kα2)).
Kinematic intensities with the Lorentz-polarization factor, no thermal factor.

Crystal structure
```
9
Lattice="-4.168 4.168 1.963 4.168 -4.168 1.963 4.168 4.168 -1.963" Properties=species:S:1:pos:R:3 pbc="T T T"
Pd 2.733 0.000 0.000
Pd 5.603 0.000 0.000
Pd 0.000 2.733 0.000
Pd 2.822 2.822 0.000
Pd 1.346 -1.346 1.963
Pd -1.346 1.346 1.963
Pd 1.346 1.346 1.963
Pd 0.000 5.603 0.000
W 0.000 0.000 0.000
```

The 10 most intense peaks (5 to 70 degrees two-theta), low angle first:
- 2θ = 15.03°, intensity 5
- 2θ = 21.32°, intensity 2
- 2θ = 25.07°, intensity 1
- 2θ = 33.14°, intensity 1
- 2θ = 39.74°, intensity 100
- 2θ = 45.53°, intensity 1
- 2θ = 46.22°, intensity 48
- 2θ = 48.88°, intensity 1
- 2θ = 50.79°, intensity 2
- 2θ = 67.43°, intensity 30

---

(5)
For Y3Pd4, a cell relaxed with PBE gives the theoretical powder X-ray diffraction pattern in this record (Cu Kα (weighted mean of Kα1 and Kα2)).
Kinematic intensities with the Lorentz-polarization factor, no thermal factor.

Crystal structure
```
14
Lattice="6.602 3.811 1.916 -6.602 3.811 1.916 0.000 -7.623 1.916" Properties=species:S:1:pos:R:3 pbc="T T T"
Y -1.670 -1.932 1.352
Y -0.838 2.412 1.352
Y 2.508 -0.480 1.352
Y -2.508 0.480 4.397
Y 0.838 -2.412 4.397
Y 1.670 1.932 4.397
Pd 0.000 0.000 0.000
Pd -3.218 0.603 1.616
Pd 1.087 -3.088 1.616
Pd -2.131 -2.485 4.133
Pd 0.000 0.000 2.874
Pd 2.131 2.485 1.616
Pd -1.087 3.088 4.133
Pd 3.218 -0.603 4.133
```

The 10 most intense peaks (5 to 70 degrees two-theta), low angle first:
- 2θ = 32.24°, intensity 22
- 2θ = 34.94°, intensity 13
- 2θ = 35.99°, intensity 100
- 2θ = 37.58°, intensity 76
- 2θ = 37.69°, intensity 17
- 2θ = 42.44°, intensity 17
- 2θ = 46.93°, intensity 13
- 2θ = 51.11°, intensity 10
- 2θ = 53.02°, intensity 17
- 2θ = 65.78°, intensity 21

---

(6)
For Y3Pd5, a cell relaxed with PBE gives the theoretical powder X-ray diffraction pattern in this record (Cu Kα (weighted mean of Kα1 and Kα2)).
Kinematic intensities with the Lorentz-polarization factor, no thermal factor.

Crystal structure
```
16
Lattice="4.594 -3.570 0.000 4.594 3.570 0.000 0.000 0.000 9.623" Properties=species:S:1:pos:R:3 pbc="T T T"
Y 4.594 2.732 7.218
Y 2.727 0.000 0.000
Y 2.727 0.000 4.812
Y 6.460 0.000 0.000
Y 6.460 0.000 4.812
Y 4.594 -2.732 2.406
Pd 2.050 1.564 7.218
Pd 4.594 2.226 0.447
Pd 4.594 2.226 4.364
Pd 2.050 -1.564 2.406
Pd 4.594 0.124 2.406
Pd 4.594 -0.124 7.218
Pd 7.138 1.564 7.218
Pd 4.594 -2.226 5.259
Pd 4.594 -2.226 9.176
Pd 7.138 -1.564 2.406
```

The 10 most intense peaks (5 to 70 degrees two-theta), low angle first:
- 2θ = 32.10°, intensity 10
- 2θ = 33.13°, intensity 10
- 2θ = 36.97°, intensity 100
- 2θ = 37.38°, intensity 27
- 2θ = 39.10°, intensity 19
- 2θ = 39.22°, intensity 22
- 2θ = 42.72°, intensity 30
- 2θ = 55.25°, intensity 20
- 2θ = 64.02°, intensity 9
- 2θ = 67.16°, intensity 10

---

(7)
For YPd4, a cell relaxed with PBE gives the theoretical powder X-ray diffraction pattern in this record (Cu Kα (weighted mean of Kα1 and Kα2)).
Kinematic intensities with the Lorentz-polarization factor, no thermal factor.

Crystal structure
```
10
Lattice="7.144 0.000 0.000 0.000 7.144 0.000 0.000 0.000 3.523" Properties=species:S:1:pos:R:3 pbc="T T T"
Y 0.000 0.000 0.000
Y 3.572 3.572 0.000
Pd 0.957 2.615 0.000
Pd 1.163 4.735 1.762
Pd 2.409 1.163 1.762
Pd 2.615 6.187 0.000
Pd 4.529 0.957 0.000
Pd 4.735 5.981 1.762
Pd 5.981 2.409 1.762
Pd 6.187 4.529 0.000
```

The 10 most intense peaks (5 to 70 degrees two-theta), low angle first:
- 2θ = 17.56°, intensity 7
- 2θ = 35.80°, intensity 15
- 2θ = 38.02°, intensity 100
- 2θ = 39.91°, intensity 42
- 2θ = 51.14°, intensity 6
- 2θ = 51.90°, intensity 13
- 2θ = 53.02°, intensity 7
- 2θ = 54.49°, intensity 6
- 2θ = 59.45°, intensity 9
- 2θ = 67.41°, intensity 17

---

(8)
For Y3Pd, a cell relaxed with PBE gives the theoretical powder X-ray diffraction pattern in this record (Cu Kα (weighted mean of Kα1 and Kα2)).
Kinematic intensities with the Lorentz-polarization factor, no thermal factor.

Crystal structure
```
16
Lattice="7.057 0.000 0.000 0.000 9.699 0.000 0.000 0.000 6.463" Properties=species:S:1:pos:R:3 pbc="T T T"
Y 0.167 2.425 0.852
Y 1.279 0.576 4.362
Y 1.279 4.274 4.362
Y 2.249 5.426 1.130
Y 2.249 9.123 1.130
Y 3.362 7.275 4.084
Y 3.696 2.425 2.379
Y 4.808 0.576 5.333
Y 4.808 4.274 5.333
Y 5.778 5.426 2.101
Y 5.778 9.123 2.101
Y 6.890 7.275 5.611
Pd 0.779 7.275 2.863
Pd 2.749 2.425 6.094
Pd 4.308 7.275 0.369
Pd 6.278 2.425 3.600
```

The 10 most intense peaks (5 to 70 degrees two-theta), low angle first:
- 2θ = 30.29°, intensity 37
- 2θ = 30.93°, intensity 59
- 2θ = 31.35°, intensity 70
- 2θ = 31.82°, intensity 100
- 2θ = 33.32°, intensity 37
- 2θ = 33.49°, intensity 63
- 2θ = 34.36°, intensity 63
- 2θ = 35.73°, intensity 44
- 2θ = 37.74°, intensity 53
- 2θ = 56.91°, intensity 43

---

(9)
For ZnPd7, a cell relaxed with PBE gives the theoretical powder X-ray diffraction pattern in this record (Cu Kα (weighted mean of Kα1 and Kα2)).
Kinematic intensities with the Lorentz-polarization factor, no thermal factor.

Crystal structure
```
16
Lattice="2.819 0.000 0.000 0.000 3.835 0.000 0.000 0.000 33.493" Properties=species:S:1:pos:R:3 pbc="T T T"
Zn 0.705 0.959 6.297
Zn 2.114 2.876 27.196
Pd 0.705 0.959 8.895
Pd 0.705 0.959 11.752
Pd 0.705 0.959 14.605
Pd 0.705 0.959 17.459
Pd 0.705 0.959 20.315
Pd 0.705 0.959 23.179
Pd 0.705 0.959 26.171
Pd 2.114 2.876 7.322
Pd 2.114 2.876 10.315
Pd 2.114 2.876 13.178
Pd 2.114 2.876 16.035
Pd 2.114 2.876 18.889
Pd 2.114 2.876 21.742
Pd 2.114 2.876 24.599
```

The 10 most intense peaks (5 to 70 degrees two-theta), low angle first:
- 2θ = 5.28°, intensity 100
- 2θ = 10.57°, intensity 8
- 2θ = 37.72°, intensity 24
- 2θ = 39.71°, intensity 66
- 2θ = 39.95°, intensity 41
- 2θ = 43.77°, intensity 16
- 2θ = 45.75°, intensity 28
- 2θ = 47.43°, intensity 20
- 2θ = 66.49°, intensity 9
- 2θ = 68.00°, intensity 17

---

(10)
For ZnPd, a cell relaxed with PBE gives the theoretical powder X-ray diffraction pattern in this record (Cu Kα (weighted mean of Kα1 and Kα2)).
Kinematic intensities with the Lorentz-polarization factor, no thermal factor.

Crystal structure
```
2
Lattice="2.826 0.000 0.000 0.000 2.826 0.000 0.000 0.000 3.529" Properties=species:S:1:pos:R:3 pbc="T T T"
Zn 0.000 0.000 0.000
Pd 1.413 1.413 1.764
```

The 8 most intense peaks (5 to 70 degrees two-theta), low angle first:
- 2θ = 25.24°, intensity 4
- 2θ = 31.66°, intensity 4
- 2θ = 40.91°, intensity 100
- 2θ = 45.38°, intensity 37
- 2θ = 51.82°, intensity 12
- 2θ = 52.63°, intensity 2
- 2θ = 62.01°, intensity 1
- 2θ = 66.12°, intensity 11

---

(11)
For Zn8Pd, a cell relaxed with PBE gives the theoretical powder X-ray diffraction pattern in this record (Cu Kα (weighted mean of Kα1 and Kα2)).
Kinematic intensities with the Lorentz-polarization factor, no thermal factor.

Crystal structure
```
9
Lattice="-4.138 4.138 1.923 4.138 -4.138 1.923 4.138 4.138 -1.923" Properties=species:S:1:pos:R:3 pbc="T T T"
Zn 2.764 0.000 0.000
Zn 5.511 0.000 0.000
Zn 2.757 2.757 0.000
Zn 1.381 -1.381 1.923
Zn 0.000 2.764 0.000
Zn 0.000 5.511 0.000
Zn -1.381 1.381 1.923
Zn 1.381 1.381 1.923
Pd 0.000 0.000 0.000
```

The 9 most intense peaks (5 to 70 degrees two-theta), low angle first:
- 2θ = 15.14°, intensity 2
- 2θ = 21.48°, intensity 1
- 2θ = 25.54°, intensity 1
- 2θ = 33.61°, intensity 1
- 2θ = 40.23°, intensity 100
- 2θ = 46.56°, intensity 32
- 2θ = 47.27°, intensity 15
- 2θ = 67.97°, intensity 10
- 2θ = 68.52°, intensity 19

---

(12)
For ZnPd20, a cell relaxed with PBE gives the theoretical powder X-ray diffraction pattern in this record (Cu Kα (weighted mean of Kα1 and Kα2)).
Kinematic intensities with the Lorentz-polarization factor, no thermal factor.

Crystal structure
```
42
Lattice="4.800 0.000 0.000 1.664 7.106 0.000 0.079 0.038 31.259" Properties=species:S:1:pos:R:3 pbc="T T T"
Zn 0.417 1.248 6.523
Zn 6.126 5.895 24.736
Pd 0.446 1.259 15.180
Pd 0.489 1.235 24.122
Pd 1.259 3.741 14.281
Pd 1.319 3.724 23.333
Pd 2.079 6.223 13.382
Pd 2.150 6.257 22.325
Pd 1.226 1.608 12.477
Pd 1.283 1.653 21.467
Pd 2.052 4.090 11.581
Pd 2.120 4.112 20.582
Pd 2.876 6.567 10.682
Pd 2.930 6.605 19.665
Pd 2.006 1.971 9.781
Pd 2.075 1.988 18.774
Pd 2.854 4.442 8.816
Pd 2.902 4.467 17.874
Pd 3.676 6.890 7.959
Pd 3.714 6.953 16.976
Pd 2.812 2.261 7.105
Pd 2.864 2.329 16.078
Pd 3.679 4.814 15.181
Pd 3.730 4.882 24.154
Pd 2.828 0.191 14.283
Pd 2.867 0.253 23.300
Pd 3.641 2.677 13.385
Pd 3.689 2.702 22.443
Pd 4.467 5.156 12.485
Pd 4.536 5.172 21.478
Pd 3.612 0.538 11.594
Pd 3.666 0.576 20.577
Pd 4.422 3.031 10.677
Pd 4.490 3.053 19.678
Pd 5.259 5.490 9.792
Pd 5.317 5.535 18.782
Pd 4.392 0.886 8.934
Pd 4.463 0.920 17.878
Pd 5.223 3.419 7.926
Pd 5.283 3.402 16.978
Pd 6.053 5.908 7.137
Pd 6.096 5.884 16.079
```

The 10 most intense peaks (5 to 70 degrees two-theta), low angle first:
- 2θ = 5.65°, intensity 100
- 2θ = 8.49°, intensity 25
- 2θ = 38.38°, intensity 40
- 2θ = 38.39°, intensity 40
- 2θ = 39.49°, intensity 77
- 2θ = 40.24°, intensity 65
- 2θ = 40.68°, intensity 63
- 2θ = 45.53°, intensity 34
- 2θ = 46.12°, intensity 31
- 2θ = 46.82°, intensity 46

---

(13)
For ZnPd9, a cell relaxed with PBE gives the theoretical powder X-ray diffraction pattern in this record (Cu Kα (weighted mean of Kα1 and Kα2)).
Kinematic intensities with the Lorentz-polarization factor, no thermal factor.

Crystal structure
```
20
Lattice="2.825 0.000 0.000 0.000 2.825 0.000 0.000 0.000 50.950" Properties=species:S:1:pos:R:3 pbc="T T T"
Zn 0.706 0.706 7.289
Zn 2.119 2.119 43.662
Pd 0.706 0.706 10.937
Pd 0.706 0.706 14.846
Pd 0.706 0.706 18.714
Pd 0.706 0.706 22.580
Pd 0.706 0.706 26.440
Pd 0.706 0.706 30.303
Pd 0.706 0.706 34.170
Pd 0.706 0.706 38.049
Pd 0.706 0.706 42.043
Pd 2.119 2.119 8.908
Pd 2.119 2.119 12.902
Pd 2.119 2.119 16.780
Pd 2.119 2.119 20.648
Pd 2.119 2.119 24.511
Pd 2.119 2.119 28.370
Pd 2.119 2.119 32.236
Pd 2.119 2.119 36.104
Pd 2.119 2.119 40.014
```

The 10 most intense peaks (5 to 70 degrees two-theta), low angle first:
- 2θ = 5.20°, intensity 21
- 2θ = 8.68°, intensity 5
- 2θ = 39.31°, intensity 100
- 2θ = 40.42°, intensity 24
- 2θ = 45.40°, intensity 43
- 2θ = 46.33°, intensity 13
- 2θ = 48.23°, intensity 6
- 2θ = 66.15°, intensity 13
- 2θ = 66.88°, intensity 17
- 2θ = 68.38°, intensity 9